(1)
Starting from the PBE+U geometry in the Materials Project, the X-ray diffraction stick pattern of Li2NbFe3O8 was calculated for λ = 1.5418 Å (Cu Kα).
No peak broadening, texture or thermal motion is included.

Most intense lines, 2θ from 10° to 90°, in order of rising 2θ:
d 4.596, 19.31 deg, I 100
d 3.569, 24.95 deg, I 31
d 2.769, 32.33 deg, I 41
d 2.562, 35.03 deg, I 51
d 2.514, 35.71 deg, I 39
d 2.036, 44.50 deg, I 38
d 1.567, 58.96 deg, I 34
d 1.502, 61.77 deg, I 30

Structure:
```
data_Li2NbFe3O8
_chemical_formula_sum 'Li4 Nb2 Fe6 O16'
_cell_length_a 6.0072
_cell_length_b 6.0072
_cell_length_c 9.8119
_cell_angle_alpha 90.00
_cell_angle_beta 90.00
_cell_angle_gamma 120.00
_symmetry_space_group_name_H-M 'P 63 m c'
_symmetry_Int_Tables_number 186
_symmetry_space_group_name_Hall 'P 6c -2c'
loop_
_atom_site_label
_atom_site_type_symbol
_atom_site_fract_x
_atom_site_fract_y
_atom_site_fract_z
Li1 Li 0.0000 0.0000 0.0000
Li2 Li 0.3333 0.6667 0.4115
Nb1 Nb 0.3333 0.6667 0.0030
Fe1 Fe 0.1712 0.3425 0.7266
O1 O 0.0000 0.0000 0.3132
O2 O 0.0368 0.5184 0.8532
O3 O 0.1676 0.3353 0.1009
O4 O 0.3333 0.6667 0.6173
```

(2)
Starting from the PBE+U geometry in the Materials Project, the X-ray diffraction stick pattern of CoSbP2O8 was calculated for λ = 1.5418 Å (Cu Kα).
No peak broadening, texture or thermal motion is included.

Most intense lines, 2θ from 10° to 90°, in order of rising 2θ:
d 5.030, 17.63 deg, I 92
d 4.580, 19.38 deg, I 34
d 4.321, 20.55 deg, I 35
d 3.730, 23.86 deg, I 34
d 3.671, 24.25 deg, I 70
d 3.565, 24.98 deg, I 35
d 3.557, 25.03 deg, I 38
d 3.143, 28.40 deg, I 100

Structure:
```
data_CoSbP2O8
_chemical_formula_sum 'Co4 Sb4 P8 O32'
_cell_length_a 7.971
_cell_length_b 8.056
_cell_length_c 10.088
_cell_angle_alpha 93.29
_cell_angle_beta 91.93
_cell_angle_gamma 103.36
_symmetry_space_group_name_H-M 'P 1'
_symmetry_Int_Tables_number 1
loop_
_symmetry_equiv_pos_as_xyz
'x,y,z'
loop_
_atom_site_label
_atom_site_type_symbol
_atom_site_fract_x
_atom_site_fract_y
_atom_site_fract_z
Co1 Co 0.000 0.000 0.000
Co2 Co 0.169 0.660 0.563
Co3 Co 0.503 0.496 0.997
Co4 Co 0.673 0.156 0.560
Sb1 Sb 0.184 0.169 0.481
Sb2 Sb 0.489 0.987 0.078
Sb3 Sb 0.693 0.684 0.494
Sb4 Sb 0.980 0.473 0.065
P1 P 0.257 0.748 0.889
P2 P 0.269 0.284 0.184
P3 P 0.404 0.871 0.376
P4 P 0.416 0.408 0.671
P5 P 0.761 0.254 0.872
P6 P 0.787 0.757 0.189
P7 P 0.886 0.401 0.371
P8 P 0.912 0.903 0.688
O1 O 0.047 0.541 0.397
O2 O 0.060 0.051 0.663
O3 O 0.102 0.596 0.916
O4 O 0.125 0.123 0.166
O5 O 0.210 0.448 0.127
O6 O 0.238 0.922 0.962
O7 O 0.241 0.423 0.600
O8 O 0.250 0.882 0.463
O9 O 0.266 0.757 0.741
O10 O 0.324 0.326 0.331
O11 O 0.348 0.830 0.228
O12 O 0.408 0.400 0.819
O13 O 0.424 0.274 0.097
O14 O 0.432 0.733 0.960
O15 O 0.435 0.235 0.597
O16 O 0.463 0.708 0.431
O17 O 0.549 0.032 0.394
O18 O 0.571 0.560 0.643
O19 O 0.613 0.105 0.897
O20 O 0.626 0.617 0.163
O21 O 0.717 0.457 0.420
O22 O 0.734 0.914 0.608
O23 O 0.751 0.431 0.953
O24 O 0.788 0.280 0.726
O25 O 0.788 0.921 0.119
O26 O 0.819 0.803 0.344
O27 O 0.856 0.354 0.215
O28 O 0.884 0.876 0.834
O29 O 0.885 0.236 0.441
O30 O 0.922 0.726 0.607
O31 O 0.939 0.242 0.952
O32 O 0.956 0.701 0.138
```

(3)
Starting from the PBE+U geometry in the Materials Project, the X-ray diffraction stick pattern of MgV2CoO6 was calculated for λ = 1.5418 Å (Cu Kα).
No peak broadening, texture or thermal motion is included.

Most intense lines, 2θ from 10° to 90°, in order of rising 2θ:
d 3.587, 24.82 deg, I 43
d 2.946, 30.34 deg, I 64
d 2.885, 31.00 deg, I 100
d 2.589, 34.65 deg, I 30
d 2.448, 36.71 deg, I 40
d 1.814, 50.29 deg, I 34
d 1.797, 50.79 deg, I 42
d 1.501, 61.82 deg, I 20

Structure:
```
data_MgV2CoO6
_chemical_formula_sum 'Mg2 V4 Co2 O12'
_cell_length_a 10.621
_cell_length_b 3.594
_cell_length_c 6.306
_cell_angle_alpha 90.00
_cell_angle_beta 102.83
_cell_angle_gamma 90.00
_symmetry_space_group_name_H-M 'C 1 2/m 1'
_symmetry_Int_Tables_number 12
loop_
_symmetry_equiv_pos_as_xyz
'x,y,z'
'-x,-y,-z'
'-x,y,-z'
'x,-y,z'
'x+1/2,y+1/2,z'
'-x+1/2,-y+1/2,-z'
'-x+1/2,y+1/2,-z'
'x+1/2,-y+1/2,z'
loop_
_atom_site_label
_atom_site_type_symbol
_atom_site_fract_x
_atom_site_fract_y
_atom_site_fract_z
Mg1 Mg 0.000 0.000 0.000
V1 V 0.229 0.500 0.193
Co1 Co 0.000 0.500 0.500
O1 O 0.051 0.500 0.217
O2 O 0.139 0.000 0.595
O3 O 0.194 0.000 0.070
```

(4)
Starting from the PBE+U geometry in the Materials Project, the X-ray diffraction stick pattern of MgMn4Cu3O12 was calculated for λ = 1.5418 Å (Cu Kα).
No peak broadening, texture or thermal motion is included.

Most intense lines, 2θ from 10° to 90°, in order of rising 2θ:
d 3.319, 26.86 deg, I 48
d 3.156, 28.28 deg, I 44
d 2.824, 31.68 deg, I 100
d 2.714, 33.00 deg, I 51
d 2.683, 33.40 deg, I 83
d 2.609, 34.38 deg, I 54
d 2.563, 35.01 deg, I 80
d 1.942, 46.77 deg, I 55

Structure:
```
data_MgMn4Cu3O12
_chemical_formula_sum 'Mg1 Mn4 Cu3 O12'
_cell_length_a 6.414
_cell_length_b 6.478
_cell_length_c 6.584
_cell_angle_alpha 106.37
_cell_angle_beta 111.36
_cell_angle_gamma 105.67
_symmetry_space_group_name_H-M 'P 1'
_symmetry_Int_Tables_number 1
loop_
_symmetry_equiv_pos_as_xyz
'x,y,z'
loop_
_atom_site_label
_atom_site_type_symbol
_atom_site_fract_x
_atom_site_fract_y
_atom_site_fract_z
Mg1 Mg 0.000 0.000 0.000
Mn1 Mn 0.359 0.429 0.345
Mn2 Mn 0.388 0.947 0.866
Mn3 Mn 0.884 0.451 0.870
Mn4 Mn 0.899 0.978 0.359
Cu1 Cu 0.372 0.946 0.354
Cu2 Cu 0.374 0.441 0.857
Cu3 Cu 0.720 0.820 0.590
O1 O 0.032 0.803 0.189
O2 O 0.054 0.331 0.076
O3 O 0.054 0.945 0.680
O4 O 0.193 0.627 0.860
O5 O 0.202 0.297 0.511
O6 O 0.368 0.130 0.186
O7 O 0.392 0.757 0.525
O8 O 0.531 0.572 0.197
O9 O 0.553 0.256 0.848
O10 O 0.680 0.554 0.646
O11 O 0.695 0.940 0.041
O12 O 0.721 0.085 0.525
```

(5)
Starting from the PBE+U geometry in the Materials Project, the X-ray diffraction stick pattern of Na4MgNi2O6 was calculated for λ = 1.5418 Å (Cu Kα).
No peak broadening, texture or thermal motion is included.

Most intense lines, 2θ from 10° to 90°, in order of rising 2θ:
d 6.050, 14.64 deg, I 100
d 5.064, 17.51 deg, I 23
d 4.668, 19.01 deg, I 21
d 3.883, 22.90 deg, I 23
d 3.416, 26.09 deg, I 21
d 2.685, 33.37 deg, I 25
d 2.472, 36.35 deg, I 67
d 2.215, 40.74 deg, I 31

Structure:
```
data_Na4MgNi2O6
_chemical_formula_sum 'Na8 Mg2 Ni4 O12'
_cell_length_a 5.367
_cell_length_b 10.128
_cell_length_c 6.174
_cell_angle_alpha 90.00
_cell_angle_beta 101.46
_cell_angle_gamma 90.00
_symmetry_space_group_name_H-M 'C 1 m 1'
_symmetry_Int_Tables_number 8
loop_
_symmetry_equiv_pos_as_xyz
'x,y,z'
'x,-y,z'
'x+1/2,y+1/2,z'
'x+1/2,-y+1/2,z'
loop_
_atom_site_label
_atom_site_type_symbol
_atom_site_fract_x
_atom_site_fract_y
_atom_site_fract_z
Na1 Na 0.000 0.000 0.000
Na2 Na 0.123 0.320 0.165
Na3 Na 0.187 0.500 0.628
Mg1 Mg 0.208 0.000 0.437
Ni1 Ni 0.114 0.197 0.661
O1 O 0.238 0.000 0.757
O2 O 0.354 0.500 0.308
O3 O 0.358 0.181 0.459
O4 O 0.375 0.304 0.848
```